Diffraction record for Be2Ni5. The PXRD pattern is calculated, not measured: it uses a DFT-relaxed cell (GGA-PBE, Alexandria) and Cu Kα (λ = 1.5418 Å).

Largest 8 diffraction maxima, in order of rising 2θ, 5 to 70 degrees two-theta:
- 2θ 35.45, rel. 71, hkl 1 3 1
- 2θ 41.59, rel. 76, hkl 0 2 2
- 2θ 42.35, rel. 83, hkl 1 1 2
- 2θ 45.42, rel. 72, hkl 1 5 0
- 2θ 47.40, rel. 73, hkl 2 4 0
- 2θ 50.57, rel. 45, hkl 3 1 0
- 2θ 50.86, rel. 81, hkl 2 0 2
- 2θ 51.44, rel. 100, hkl 0 4 2

Crystal structure
Unit cell a=5.4935 b=10.7174 c=4.7440 alpha=90.00 beta=90.00 gamma=90.00
Space group Cccm (No. 66)
Unique sites:
Be 0.2281 0.1231 0.0000 (multiplicity 8)
Ni 0.0000 0.2704 0.2500 (multiplicity 8)
Ni 0.0000 0.5000 0.2500 (multiplicity 4)
Ni 0.1612 0.0874 0.5000 (multiplicity 8)